# Ga2Pd6Au
Simulated X-ray diffraction stick pattern, Cu Kα (weighted mean of Kα1 and Kα2). Input: DFT lattice parameters and positions (GGA-PBE).
Intensities are scaled so that the largest is 100.

Crystal structure
Cell: 4.281 10.215 12.761 Å, 90.00 90.00 90.00°
Space group Fmmm (No. 69)
Inequivalent atoms, fractional coordinates:
Ga  0.000  0.000  0.157
Pd  0.000  0.153  0.325
Pd  0.000  0.166  0.000
Au  0.000  0.000  0.500

Principal peaks in the range 2θ = 10–80°, by angle:
2θ/deg, I (rel.), hkl
23.59, 6, 1 1 1
39.92, 100, 1 3 3
42.21, 27, 2 0 0
42.51, 21, 0 0 6
53.85, 10, 0 6 0
61.46, 14, 2 0 6
70.70, 8, 2 6 0
70.91, 8, 0 6 6
75.64, 15, 3 3 3
76.03, 13, 1 3 9